Entry 1:
This entry pairs a crystal structure of Ba2PuPaO6 with its simulated powder diffraction line list. Radiation: CuKα. Structure: DFT lattice parameters and positions (GGA-PBE).
Lines closer than 0.1° are merged.

Largest 12 diffraction maxima, in order of rising 2θ, 10° ≤ 2θ ≤ 80°:
d [Å], 2θ/deg, intensity, (hkl)
4.482, 19.81, 13, 2 0 0
3.169, 28.16, 100, 2 2 0
2.588, 34.66, 1, 2 2 2
2.241, 40.24, 28, 4 0 0
2.004, 45.24, 6, 4 2 0
1.830, 49.84, 43, 4 2 2
1.585, 58.22, 18, 4 4 0
1.494, 62.13, 3, 6 0 0
1.417, 65.90, 19, 6 2 0
1.351, 69.57, 1, 6 2 2
1.294, 73.14, 6, 4 4 4
1.243, 76.66, 1, 6 4 0

Atomic structure:
Cell: 8.964 8.964 8.964 Å, 90.00 90.00 90.00°
Space group Fm-3m (No. 225)
One atom of each set of equivalent atoms:
Ba  0.250  0.250  0.250
Pu  0.000  0.000  0.000
Pa  0.000  0.000  0.500
O  0.000  0.000  0.256

=====

Entry 2:
This entry pairs a crystal structure of Rb2CuP4H8O16 with its simulated powder diffraction line list. Radiation: CuKα. Structure: DFT lattice parameters and positions (GGA-PBE).
Lines closer than 0.1° are merged.

Largest 12 diffraction maxima, in order of rising 2θ, 10° ≤ 2θ ≤ 80°:
d [Å], 2θ/deg, intensity, (hkl)
7.558, 11.71, 69, 0 0 1
5.174, 17.14, 47, 1 1 0
4.423, 20.08, 23, 1 0 -1
3.818, 23.30, 57, 1 1 -1
3.781, 23.53, 100, 0 2 0
3.476, 25.63, 35, 0 2 1
3.260, 27.36, 62, 2 1 1
3.001, 29.77, 44, 2 -1 0
2.868, 31.19, 31, 2 1 2
2.767, 32.35, 37, 0 2 2
2.670, 33.56, 24, 2 -1 2
2.590, 34.64, 48, 0 2 -2

Atomic structure:
Cell: 7.027 7.609 7.921 Å, 84.99 72.95 85.31°
Space group P-1 (No. 2)
One atom of each set of equivalent atoms:
Rb  0.110  0.222  0.278
Cu  0.500  0.000  0.500
P  0.253  0.307  0.739
P  0.333  0.764  0.264
H  0.054  0.764  0.110
H  0.261  0.541  0.468
H  0.374  0.806  0.878
H  0.389  0.682  0.725
O  0.072  0.283  0.910
O  0.243  0.834  0.117
O  0.246  0.580  0.343
O  0.258  0.495  0.657
O  0.268  0.163  0.613
O  0.307  0.886  0.412
O  0.432  0.275  0.832
O  0.448  0.784  0.755

=====

Entry 3:
This entry pairs a crystal structure of Li2CuP6H20C2N6O22 with its simulated powder diffraction line list. Radiation: CuKα. Structure: DFT lattice parameters and positions (GGA-PBE).
Lines closer than 0.1° are merged.

Largest 12 diffraction maxima, in order of rising 2θ, 10° ≤ 2θ ≤ 80°:
d [Å], 2θ/deg, intensity, (hkl)
6.861, 12.90, 100, 1 0 0
6.587, 13.44, 25, 1 0 1
6.444, 13.74, 32, 1 1 0
6.152, 14.40, 45, 1 1 1
4.778, 18.57, 38, 1 -1 0
4.650, 19.09, 36, 1 1 -1
4.061, 21.89, 31, 0 1 -2
3.988, 22.29, 35, 0 1 2
3.758, 23.67, 28, 1 -1 2
3.305, 26.98, 32, 1 -2 0
3.292, 27.09, 19, 1 -2 1
3.007, 29.71, 57, 2 1 -1

Atomic structure:
Cell: 7.628 9.346 9.574 Å, 85.24 70.55 71.96°
Space group P-1 (No. 2)
One atom of each set of equivalent atoms:
Li  0.174  0.059  0.151
Cu  0.500  0.500  0.500
P  0.276  0.820  0.656
P  0.326  0.798  0.345
P  0.430  0.003  0.797
H  0.078  0.197  0.569
H  0.101  0.575  0.631
H  0.141  0.709  0.953
H  0.163  0.403  0.603
H  0.191  0.726  0.116
H  0.204  0.465  0.856
H  0.205  0.229  0.411
H  0.278  0.308  0.956
H  0.321  0.510  0.235
H  0.366  0.332  0.165
C  0.242  0.509  0.051
N  0.188  0.659  0.039
N  0.234  0.422  0.950
N  0.302  0.445  0.164
O  0.095  0.812  0.777
O  0.106  0.278  0.503
O  0.187  0.481  0.653
O  0.194  0.864  0.254
O  0.221  0.878  0.507
O  0.272  0.050  0.941
O  0.342  0.962  0.679
O  0.380  0.116  0.212
O  0.383  0.629  0.358
O  0.454  0.682  0.621
O  0.474  0.156  0.718

=====

Entry 4:
This entry pairs a crystal structure of Ti2ZnS4 with its simulated powder diffraction line list. Radiation: CuKα. Structure: DFT lattice parameters and positions (GGA-PBE).
Lines closer than 0.1° are merged.

Largest 12 diffraction maxima, in order of rising 2θ, 10° ≤ 2θ ≤ 80°:
d [Å], 2θ/deg, intensity, (hkl)
3.591, 24.79, 43, 2 2 0
3.063, 29.16, 100, 3 1 1
2.540, 35.34, 38, 4 0 0
2.074, 43.65, 18, 4 2 2
1.955, 46.45, 44, 5 1 1
1.796, 50.85, 91, 4 4 0
1.606, 57.37, 7, 6 2 0
1.549, 59.69, 12, 5 3 3
1.466, 63.44, 7, 4 4 4
1.357, 69.21, 9, 6 4 2
1.322, 71.32, 18, 5 5 3
1.270, 74.77, 13, 8 0 0

Atomic structure:
Cell: 10.158 10.158 10.158 Å, 90.00 90.00 90.00°
Space group Fd-3m (No. 227, origin choice 2)
One atom of each set of equivalent atoms:
Ti  0.000  0.000  0.000
Zn  0.125  0.125  0.625
S  0.007  0.007  0.243

=====

Entry 5:
This entry pairs a crystal structure of Hg3PtN2Cl8 with its simulated powder diffraction line list. Radiation: CuKα. Structure: DFT lattice parameters and positions (GGA-PBE).
Lines closer than 0.1° are merged.

Largest 12 diffraction maxima, in order of rising 2θ, 10° ≤ 2θ ≤ 80°:
d [Å], 2θ/deg, intensity, (hkl)
6.199, 14.29, 65, 1 1 0
5.892, 15.04, 46, 2 0 -2
5.569, 15.92, 31, 1 1 1
4.873, 18.20, 55, 4 0 0
4.505, 19.70, 100, 1 1 2
3.348, 26.62, 47, 5 1 0
3.123, 28.58, 40, 5 1 -2
3.108, 28.72, 69, 2 0 4
2.943, 30.37, 66, 1 1 4
2.898, 30.85, 31, 5 1 2
2.576, 34.82, 75, 4 2 -2
2.133, 42.38, 31, 6 2 2

Atomic structure:
Cell: 19.611 6.538 13.696 Å, 90.00 96.29 90.00°
Space group C2/c (No. 15)
One atom of each set of equivalent atoms:
Hg  0.000  0.000  0.000
Hg  0.202  0.015  0.424
Pt  0.000  0.284  0.750
N  0.074  0.426  0.731
Cl  0.063  0.286  0.466
Cl  0.079  0.013  0.727
Cl  0.150  0.260  0.992
Cl  0.246  0.217  0.650

=====

Entry 6:
This entry pairs a crystal structure of Na2Re3S6 with its simulated powder diffraction line list. Radiation: CuKα. Structure: DFT lattice parameters and positions (GGA-PBE).
Lines closer than 0.1° are merged.

Largest 12 diffraction maxima, in order of rising 2θ, 10° ≤ 2θ ≤ 80°:
d [Å], 2θ/deg, intensity, (hkl)
8.023, 11.03, 96, 2 0 0
6.851, 12.92, 89, 1 1 -1
6.694, 13.23, 100, 1 1 1
5.821, 15.22, 20, 0 0 2
4.822, 18.40, 8, 2 0 -2
2.695, 33.24, 10, 2 0 4
2.520, 35.63, 9, 3 1 -4
2.305, 39.09, 8, 4 0 4
2.281, 39.51, 14, 6 2 1
2.230, 40.44, 15, 7 1 0
2.052, 44.14, 11, 3 1 5
1.894, 48.03, 12, 4 2 -5

Atomic structure:
Cell: 16.065 9.735 11.654 Å, 90.00 92.71 90.00°
Space group C2/c (No. 15)
One atom of each set of equivalent atoms:
Na  0.000  0.073  0.250
Na  0.000  0.289  0.750
Na  0.126  0.271  0.008
Re  0.156  0.355  0.468
Re  0.202  0.104  0.415
Re  0.203  0.182  0.633
S  0.032  0.493  0.423
S  0.074  0.153  0.513
S  0.136  0.095  0.808
S  0.162  0.274  0.271
S  0.163  0.417  0.668
S  0.249  0.042  0.073

=====

Repeat the first record exactly.
This entry pairs a crystal structure of Ba2PuPaO6 with its simulated powder diffraction line list. Radiation: CuKα. Structure: DFT lattice parameters and positions (GGA-PBE).
Lines closer than 0.1° are merged.

Largest 12 diffraction maxima, in order of rising 2θ, 10° ≤ 2θ ≤ 80°:
d [Å], 2θ/deg, intensity, (hkl)
4.482, 19.81, 13, 2 0 0
3.169, 28.16, 100, 2 2 0
2.588, 34.66, 1, 2 2 2
2.241, 40.24, 28, 4 0 0
2.004, 45.24, 6, 4 2 0
1.830, 49.84, 43, 4 2 2
1.585, 58.22, 18, 4 4 0
1.494, 62.13, 3, 6 0 0
1.417, 65.90, 19, 6 2 0
1.351, 69.57, 1, 6 2 2
1.294, 73.14, 6, 4 4 4
1.243, 76.66, 1, 6 4 0

Atomic structure:
Cell: 8.964 8.964 8.964 Å, 90.00 90.00 90.00°
Space group Fm-3m (No. 225)
One atom of each set of equivalent atoms:
Ba  0.250  0.250  0.250
Pu  0.000  0.000  0.000
Pa  0.000  0.000  0.500
O  0.000  0.000  0.256